The following is a simulated X-ray powder pattern of Ac2Tb2Tl5. It was derived from a cell relaxed with GGA-PBE, using copper Kα.
Neutral-atom scattering factors, no anomalous dispersion.

Most intense lines, 2θ = 15–90°, in order of rising 2θ:
2θ (°)	intensity	index
28.59	67	3 1 2
29.74	100	5 1 1
30.66	45	0 2 2
31.76	87	4 2 1
34.70	65	1 1 3
34.88	64	1 3 1
35.30	45	5 1 2
53.95	20	5 3 3
59.18	22	9 1 3
59.31	20	9 3 1
60.29	20	7 3 3
61.73	20	8 0 4

Crystal structure
a b c (Å): 17.522 8.217 8.270
angles (deg): 90.00 90.00 90.00
Space group Cmce (No. 64)
Unique sites:
Ac 0.202 0.000 0.000 (multiplicity 8)
Tb 0.000 0.158 0.340 (multiplicity 8)
Tl 0.000 0.000 0.000 (multiplicity 4)
Tl 0.123 0.141 0.639 (multiplicity 16)


The following is a simulated X-ray powder pattern of Ac8Tb2Tm3. It was derived from a cell relaxed with GGA-PBE, using copper Kα.
Neutral-atom scattering factors, no anomalous dispersion.

Most intense lines, 2θ = 15–90°, in order of rising 2θ:
2θ (°)	intensity	index
22.59	22	2 2 0
25.52	16	2 0 1
28.19	54	1 5 1
29.34	50	0 0 2
29.90	31	0 6 1
30.96	100	2 4 1
31.81	15	3 1 0
37.34	17	2 2 2
52.42	17	4 0 2
53.06	23	2 4 3
60.19	18	3 9 2
60.80	25	0 0 4

Crystal structure
a b c (Å): 8.518 20.581 6.088
angles (deg): 90.00 90.00 90.00
Space group Cmmm (No. 65)
Unique sites:
Ac 0.000 0.125 0.000 (multiplicity 4)
Ac 0.000 0.324 0.000 (multiplicity 4)
Ac 0.205 0.395 0.500 (multiplicity 8)
Tb 0.000 0.237 0.500 (multiplicity 4)
Tm 0.000 0.000 0.500 (multiplicity 2)
Tm 0.200 0.500 0.000 (multiplicity 4)